Record 1
Simulated X-ray powder pattern
Compound: KCd10Ag3
Radiation: copper Kα
Structure: a PBE-relaxed structure

Most intense lines, 10 to 90 degrees two-theta, sorted by position:
2θ 17.56, I = 37, hkl 2 2 0; 2θ 32.57, I = 100, hkl 3 3 3; 2θ 35.55, I = 46, hkl 4 4 0; 2θ 37.24, I = 56, hkl 5 3 1; 2θ 41.95, I = 39, hkl 6 2 2; 2θ 63.84, I = 25, hkl 8 4 4

Atomic structure:
Cell lengths 14.2856, 14.2856, 14.2856 Å; angles 90.00, 90.00, 90.00 degrees
Space group Fm-3m (No. 225)
Unique sites:
1 K 0.2500 0.2500 0.2500 [8 per cell]
2 Cd 0.0000 0.1736 0.1736 [48 per cell]
3 Cd 0.1132 0.1132 0.3868 [32 per cell]
4 Ag 0.0000 0.0000 0.2641 [24 per cell]

Record 2
Simulated X-ray powder pattern
Compound: FeSiAu2
Radiation: copper Kα
Structure: a PBE-relaxed structure

Most intense lines, 10 to 90 degrees two-theta, sorted by position:
2θ 25.69, I = 45, hkl 2 0 -1; 2θ 30.34, I = 48, hkl 2 0 1; 2θ 35.34, I = 57, hkl 2 0 -2; 2θ 38.02, I = 100, hkl 1 1 1; 2θ 44.61, I = 39, hkl 1 1 -2; 2θ 48.71, I = 54, hkl 3 1 -1

Atomic structure:
Cell lengths 7.6880, 2.8430, 5.9346 Å; angles 90.00, 100.21, 90.00 degrees
Space group Cm (No. 8)
Unique sites:
1 Fe 0.0000 0.0000 0.0000 [2 per cell]
2 Si 0.2673 0.0000 0.8759 [2 per cell]
3 Au 0.0210 0.5000 0.5969 [2 per cell]
4 Au 0.2522 0.5000 0.2778 [2 per cell]

- Which formula does entry 2 have?
  FeSiAu2

- What is the formula in the first record?
  KCd10Ag3